For NbMoO5, a crystal structure in Alexandria, relaxed with PBE+U gives the computed PXRD pattern in this record (Cu Kα, 1.54184 Å).

Most intense lines, 10 to 80 degrees two-theta, low angle first:
2θ 22.75, rel. 57
2θ 27.47, rel. 100
2θ 35.95, rel. 44
2θ 46.45, rel. 13
2θ 48.56, rel. 29
2θ 54.27, rel. 24
2θ 54.82, rel. 26
2θ 56.70, rel. 15
2θ 61.88, rel. 13
2θ 69.47, rel. 18

Atomic structure:
```
data_NbMoO5
_chemical_formula_sum 'Nb1 Mo1 O5'
_cell_length_a 5.417
_cell_length_b 5.417
_cell_length_c 5.417
_cell_angle_alpha 139.50
_cell_angle_beta 106.34
_cell_angle_gamma 87.60
_space_group_name_H-M_alt 'P 1'
_space_group_IT_number 1
loop_
_space_group_symop_operation_xyz
'x,y,z'
loop_
_atom_site_label
_atom_site_type_symbol
_atom_site_fract_x
_atom_site_fract_y
_atom_site_fract_z
Nb1 Nb 0.000 0.000 0.000
Mo1 Mo 0.500 0.500 0.000
O1 O 0.000 0.500 0.500
O2 O 0.265 0.265 0.000
O3 O 0.311 0.000 0.311
O4 O 0.689 0.000 0.689
O5 O 0.735 0.735 0.000
```